TbPm3Er7: calculated powder diffractogram (λ = 1.5418 Å (Cu Kα)), based on DFT lattice parameters and positions (PBE).

Structure:
Unit cell a=5.8009 b=11.1193 c=11.1604 alpha=90.00 beta=90.00 gamma=90.00
Space group Immm (No. 71)
Unique sites:
Tb 0.0000 0.0000 0.0000
Pm 0.0000 0.0000 0.5000
Pm 0.0000 0.5000 0.2123
Er 0.0000 0.2080 0.3046
Er 0.0000 0.2944 0.0000
Er 0.0000 0.5000 0.5000

Peak list (10 most intense, 2θ from 15° to 90°, in order of falling intensity)
| index | two_theta | I (rel.) |
| --- | --- | --- |
| 1 2 3 | 32.84 | 100 |
| 2 0 0 | 30.83 | 40 |
| 2 4 0 | 45.14 | 25 |
| 3 2 3 | 56.11 | 22 |
| 0 3 1 | 25.29 | 19 |
| 0 4 0 | 32.20 | 18 |
| 0 0 4 | 32.08 | 14 |
| 1 0 3 | 28.53 | 14 |
| 2 3 1 | 40.28 | 11 |
| 1 7 2 | 62.91 | 10 |

=====

Hf5NbC4: calculated powder diffractogram (λ = 1.5418 Å (Cu Kα)), based on DFT lattice parameters and positions (PBE).

Structure:
Unit cell a=14.0893 b=3.2778 c=6.5339 alpha=90.00 beta=103.99 gamma=90.00
Space group C2/m (No. 12)
Unique sites:
Hf 0.0000 0.0000 0.0000
Hf 0.1643 0.5000 0.8213
Hf 0.1648 0.5000 0.3483
Nb 0.0000 0.0000 0.5000
C 0.0019 0.5000 0.7502
C 0.1679 0.0000 0.5888

Peak list (10 most intense, 2θ from 15° to 90°, in order of falling intensity)
| index | two_theta | I (rel.) |
| --- | --- | --- |
| 3 1 0 | 33.65 | 100 |
| 1 1 -2 | 38.92 | 53 |
| 2 0 2 | 33.93 | 32 |
| 6 0 0 | 39.55 | 26 |
| 7 1 -2 | 56.47 | 18 |
| 4 2 -2 | 67.03 | 18 |
| 5 1 2 | 56.92 | 17 |
| 0 2 0 | 56.12 | 9 |
| 2 2 2 | 67.22 | 9 |
| 6 2 0 | 70.82 | 9 |

=====

Ac6Tl6In: calculated powder diffractogram (λ = 1.5418 Å (Cu Kα)), based on DFT lattice parameters and positions (PBE).

Structure:
Unit cell a=6.9044 b=6.9044 c=11.4779 alpha=90.00 beta=90.00 gamma=120.00
Space group P6/mmm (No. 191)
Unique sites:
Ac 0.0000 0.0000 0.1938
Ac 0.3333 0.6667 0.0000
Ac 0.3333 0.6667 0.5000
Tl 0.0000 0.5000 0.2514
In 0.0000 0.0000 0.5000

Peak list (10 most intense, 2θ from 15° to 90°, in order of falling intensity)
| index | two_theta | I (rel.) |
| --- | --- | --- |
| 2 0 2 | 33.81 | 100 |
| 1 1 2 | 30.21 | 44 |
| 2 0 0 | 29.89 | 35 |
| 1 1 0 | 25.81 | 31 |
| 0 0 4 | 31.17 | 31 |
| 2 2 0 | 53.06 | 29 |
| 2 2 4 | 62.83 | 26 |
| 1 1 6 | 54.87 | 20 |
| 4 0 2 | 64.41 | 16 |
| 4 2 2 | 88.11 | 15 |

=====

Dy12YNi6: calculated powder diffractogram (λ = 1.5418 Å (Cu Kα)), based on DFT lattice parameters and positions (PBE).

Structure:
Unit cell a=9.8400 b=9.8400 c=9.8400 alpha=90.00 beta=90.00 gamma=90.00
Space group Im-3 (No. 204)
Unique sites:
Dy 0.0000 0.1844 0.3113
Y 0.0000 0.0000 0.0000
Ni 0.0000 0.3766 0.5000

Peak list (10 most intense, 2θ from 15° to 90°, in order of falling intensity)
| index | two_theta | I (rel.) |
| --- | --- | --- |
| 3 2 1 | 34.09 | 100 |
| 3 1 0 | 28.69 | 51 |
| 5 0 3 | 54.37 | 35 |
| 5 3 2 | 57.76 | 33 |
| 2 2 2 | 31.49 | 31 |
| 5 1 0 | 47.09 | 22 |
| 6 6 0 | 83.33 | 17 |
| 8 1 3 | 84.75 | 17 |
| 6 0 0 | 56.08 | 16 |
| 5 4 3 | 67.28 | 15 |

=====

Ac3Tl2Ag3: calculated powder diffractogram (λ = 1.5418 Å (Cu Kα)), based on DFT lattice parameters and positions (PBE).

Structure:
Unit cell a=4.9514 b=12.3112 c=15.7823 alpha=90.00 beta=90.00 gamma=90.00
Space group Cmcm (No. 63)
Unique sites:
Ac 0.0000 0.0890 0.1068
Ac 0.0000 0.3771 0.2500
Tl 0.0000 0.2078 0.5974
Ag 0.0000 0.3505 0.7500
Ag 0.0000 0.3967 0.0401

Peak list (10 most intense, 2θ from 15° to 90°, in order of falling intensity)
| index | two_theta | I (rel.) |
| --- | --- | --- |
| 1 1 4 | 29.85 | 100 |
| 1 3 1 | 28.82 | 75 |
| 1 3 3 | 33.07 | 66 |
| 2 0 0 | 36.29 | 54 |
| 1 3 4 | 36.43 | 34 |
| 0 0 6 | 34.09 | 29 |
| 0 4 3 | 33.74 | 28 |
| 3 1 4 | 61.32 | 20 |
| 2 0 6 | 50.63 | 19 |
| 2 4 3 | 50.38 | 19 |

=====

PrSm2Cu9: calculated powder diffractogram (λ = 1.5418 Å (Cu Kα)), based on DFT lattice parameters and positions (PBE).

Structure:
Unit cell a=5.2583 b=5.2583 c=25.0730 alpha=90.00 beta=90.00 gamma=120.00
Space group R-3m (No. 166, hexagonal axes)
Unique sites:
Pr 0.0000 0.0000 0.0000
Sm 0.0000 0.0000 0.1440
Cu 0.0000 0.0000 0.3316
Cu 0.0000 0.0000 0.5000
Cu 0.0041 0.5020 0.0816

Peak list (10 most intense, 2θ from 15° to 90°, in order of falling intensity)
| index | two_theta | I (rel.) |
| --- | --- | --- |
| 1 1 6 | 40.54 | 100 |
| 1 1 0 | 34.10 | 45 |
| 1 0 7 | 31.78 | 40 |
| 0 2 1 | 39.75 | 34 |
| 0 1 8 | 34.75 | 24 |
| 0 3 6 | 65.41 | 23 |
| 2 2 0 | 71.81 | 21 |
| 0 0 12 | 43.30 | 15 |
| 2 0 5 | 43.66 | 14 |
| 2 1 7 | 59.59 | 13 |

=====

SmBi2RuO8: calculated powder diffractogram (λ = 1.5418 Å (Cu Kα)), based on DFT lattice parameters and positions (PBE).

Structure:
Unit cell a=5.1594 b=6.8278 c=5.1840 alpha=90.00 beta=91.30 gamma=90.00
Space group P2/m (No. 10)
Unique sites:
Sm 0.0000 0.0000 0.0000
Bi 0.5000 0.2533 0.5000
Ru 0.0000 0.5000 0.0000
O 0.1777 0.2826 0.1903
O 0.2591 0.5000 0.7611
O 0.3213 0.0000 0.6897

Peak list (10 most intense, 2θ from 15° to 90°, in order of falling intensity)
| index | two_theta | I (rel.) |
| --- | --- | --- |
| 0 2 1 | 31.40 | 100 |
| 1 0 -1 | 24.06 | 57 |
| 1 0 1 | 24.62 | 56 |
| 1 2 2 | 47.80 | 40 |
| 1 2 -2 | 47.18 | 38 |
| 0 2 3 | 59.97 | 21 |
| 2 0 0 | 34.78 | 16 |
| 0 0 2 | 34.62 | 15 |
| 3 2 0 | 60.27 | 11 |
| 2 0 -2 | 49.28 | 10 |

=====

Sc2AsI2: calculated powder diffractogram (λ = 1.5418 Å (Cu Kα)), based on DFT lattice parameters and positions (PBE).

Structure:
Unit cell a=3.9881 b=3.9881 c=32.4820 alpha=90.00 beta=90.00 gamma=120.00
Space group R-3m (No. 166, hexagonal axes)
Unique sites:
Sc 0.0000 0.0000 0.1225
As 0.0000 0.0000 0.5000
I 0.0000 0.0000 0.2697

Peak list (10 most intense, 2θ from 15° to 90°, in order of falling intensity)
| index | two_theta | I (rel.) |
| --- | --- | --- |
| 0 1 5 | 29.29 | 100 |
| 0 1 8 | 34.08 | 73 |
| 1 1 0 | 45.49 | 59 |
| 1 0 13 | 44.77 | 58 |
| 1 0 4 | 28.08 | 56 |
| 0 1 2 | 26.38 | 41 |
| 0 0 9 | 24.67 | 32 |
| 1 0 7 | 32.31 | 26 |
| 1 1 9 | 52.42 | 25 |
| 0 0 6 | 16.37 | 22 |

=====

Sc6Cu2Pt: calculated powder diffractogram (λ = 1.5418 Å (Cu Kα)), based on DFT lattice parameters and positions (PBE).

Structure:
Unit cell a=8.7860 b=8.9714 c=9.0876 alpha=90.00 beta=90.00 gamma=90.00
Space group Immm (No. 71)
Unique sites:
Sc 0.0000 0.1734 0.2194
Sc 0.1799 0.5000 0.2336
Sc 0.1941 0.2492 0.5000
Cu 0.0000 0.3695 0.0000
Cu 0.1410 0.0000 0.0000
Pt 0.0000 0.0000 0.5000
Pt 0.0000 0.5000 0.5000

Peak list (10 most intense, 2θ from 15° to 90°, in order of falling intensity)
| index | two_theta | I (rel.) |
| --- | --- | --- |
| 2 2 2 | 34.74 | 100 |
| 3 2 1 | 38.01 | 82 |
| 0 0 2 | 19.54 | 53 |
| 0 0 4 | 39.67 | 46 |
| 1 3 2 | 37.43 | 39 |
| 2 0 0 | 20.21 | 36 |
| 3 1 2 | 37.90 | 36 |
| 0 2 0 | 19.79 | 35 |
| 1 2 1 | 24.34 | 33 |
| 1 4 1 | 42.78 | 29 |

=====

TlGe2Te2: calculated powder diffractogram (λ = 1.5418 Å (Cu Kα)), based on DFT lattice parameters and positions (PBE).

Structure:
Unit cell a=5.5632 b=5.5632 c=9.6959 alpha=90.00 beta=90.00 gamma=90.00
Space group I4/mmm (No. 139)
Unique sites:
Tl 0.0000 0.0000 0.0000
Ge 0.0000 0.0000 0.3557
Te 0.0000 0.5000 0.2500

Peak list (10 most intense, 2θ from 15° to 90°, in order of falling intensity)
| index | two_theta | I (rel.) |
| --- | --- | --- |
| 1 1 2 | 29.24 | 100 |
| 2 0 0 | 32.18 | 83 |
| 1 0 3 | 32.03 | 53 |
| 2 1 3 | 46.04 | 39 |
| 3 1 2 | 55.57 | 33 |
| 2 2 0 | 46.15 | 30 |
| 1 0 1 | 18.37 | 23 |
| 4 0 0 | 67.27 | 22 |
| 4 2 0 | 76.56 | 22 |
| 1 1 6 | 62.09 | 21 |

=====

Nd5Ga2O2: calculated powder diffractogram (λ = 1.5418 Å (Cu Kα)), based on DFT lattice parameters and positions (PBE).

Structure:
Unit cell a=6.9619 b=18.9670 c=6.8525 alpha=90.00 beta=90.00 gamma=90.00
Space group Imma (No. 74)
Unique sites:
Nd 0.0000 0.1377 0.1013
Nd 0.2500 0.0221 0.7500
Nd 0.2500 0.2500 0.7500
Ga 0.0000 0.1291 0.5404
O 0.0000 0.0000 0.0000
O 0.0000 0.2500 0.9891

Peak list (10 most intense, 2θ from 15° to 90°, in order of falling intensity)
| index | two_theta | I (rel.) |
| --- | --- | --- |
| 2 4 0 | 31.89 | 100 |
| 0 5 1 | 26.86 | 55 |
| 2 0 2 | 36.81 | 52 |
| 0 4 2 | 32.23 | 51 |
| 2 1 1 | 29.16 | 35 |
| 1 1 2 | 29.43 | 28 |
| 2 9 1 | 52.48 | 26 |
| 4 0 0 | 52.61 | 25 |
| 0 8 0 | 37.95 | 24 |
| 1 5 2 | 37.66 | 21 |

=====

CaPa2CuO8: calculated powder diffractogram (λ = 1.5418 Å (Cu Kα)), based on DFT lattice parameters and positions (PBE).

Structure:
Unit cell a=5.1456 b=5.1456 c=6.6296 alpha=90.00 beta=90.00 gamma=120.00
Space group P-3m1 (No. 164)
Unique sites:
Ca 0.0000 0.0000 0.0000
Pa 0.3333 0.6667 0.3566
Cu 0.0000 0.0000 0.5000
O 0.1726 0.3451 0.6635
O 0.3333 0.6667 0.0708

Peak list (10 most intense, 2θ from 15° to 90°, in order of falling intensity)
| index | two_theta | I (rel.) |
| --- | --- | --- |
| 0 1 1 | 24.06 | 100 |
| 1 1 0 | 34.87 | 68 |
| 1 0 2 | 33.70 | 61 |
| 2 0 1 | 42.82 | 40 |
| 0 2 2 | 49.28 | 35 |
| 1 1 1 | 37.50 | 24 |
| 2 1 2 | 61.78 | 24 |
| 1 2 1 | 56.36 | 22 |
| 1 0 3 | 45.83 | 17 |
| 1 1 3 | 54.76 | 16 |